Diffraction record for DyIn2Hg8. The powder diffraction line list is simulated, not measured: it uses a structure optimized by DFT (GGA-PBE) and Cu Kα X-rays.
Kinematic intensities with the Lorentz-polarization factor, no thermal factor.

The 6 most intense peaks (2θ from 10° to 90°), in order of falling intensity:
2theta, I_rel
32.98, 100.0
33.66, 97.6
37.76, 36.1
38.06, 34.1
40.14, 29.2
65.16, 27.3

Cell and atoms:
```
data_DyIn2Hg8
_space_group_name_H-M_alt 'P 1'
_space_group_IT_number 1
_cell_length_a 8.6819
_cell_length_b 8.6819
_cell_length_c 7.3802
_cell_angle_alpha 107.72
_cell_angle_beta 107.72
_cell_angle_gamma 31.85
loop_
_space_group_symop_operation_xyz
'x,y,z'
loop_
_atom_site_label
_atom_site_fract_x
_atom_site_fract_y
_atom_site_fract_z
_atom_site_occupancy
Dy1 0.0000 0.0000 0.0000 1
In1 0.2740 0.2740 0.3539 1
In2 0.7260 0.7260 0.6461 1
Hg1 0.0918 0.0918 0.4531 1
Hg2 0.1742 0.1742 0.9026 1
Hg3 0.3578 0.3578 0.8208 1
Hg4 0.4624 0.4624 0.2664 1
Hg5 0.5376 0.5376 0.7336 1
Hg6 0.6422 0.6422 0.1792 1
Hg7 0.8258 0.8258 0.0974 1
Hg8 0.9082 0.9082 0.5469 1
```


Diffraction record for DyIn3Hg2. The powder diffraction line list is simulated, not measured: it uses a structure optimized by DFT (GGA-PBE) and Cu Kα X-rays.
Kinematic intensities with the Lorentz-polarization factor, no thermal factor.

The 6 most intense peaks (2θ from 10° to 90°), in order of falling intensity:
2theta, I_rel
33.52, 100.0
39.00, 33.1
56.10, 22.8
38.69, 17.0
66.75, 13.5
67.23, 13.3

Cell and atoms:
```
data_DyIn3Hg2
_space_group_name_H-M_alt 'P 1'
_space_group_IT_number 1
_cell_length_a 7.3092
_cell_length_b 7.3092
_cell_length_c 4.6544
_cell_angle_alpha 90.00
_cell_angle_beta 90.00
_cell_angle_gamma 143.20
loop_
_space_group_symop_operation_xyz
'x,y,z'
loop_
_atom_site_label
_atom_site_fract_x
_atom_site_fract_y
_atom_site_fract_z
_atom_site_occupancy
Dy1 0.0000 0.0000 0.0000 1
In1 0.1715 0.8285 0.5000 1
In2 0.5000 0.5000 0.5000 1
In3 0.8285 0.1715 0.5000 1
Hg1 0.3342 0.6658 0.0000 1
Hg2 0.6658 0.3342 0.0000 1
```


Diffraction record for Pm2DyIn3Hg6. The powder diffraction line list is simulated, not measured: it uses a structure optimized by DFT (GGA-PBE) and Cu Kα X-rays.
Kinematic intensities with the Lorentz-polarization factor, no thermal factor.

The 6 most intense peaks (2θ from 10° to 90°), in order of falling intensity:
2theta, I_rel
42.24, 100.0
37.46, 96.8
34.51, 91.1
29.86, 89.1
32.41, 70.0
37.05, 57.1

Cell and atoms:
```
data_Pm2DyIn3Hg6
_space_group_name_H-M_alt 'P 1'
_space_group_IT_number 1
_cell_length_a 4.2789
_cell_length_b 4.2789
_cell_length_c 20.3061
_cell_angle_alpha 90.00
_cell_angle_beta 90.00
_cell_angle_gamma 90.00
loop_
_space_group_symop_operation_xyz
'x,y,z'
loop_
_atom_site_label
_atom_site_fract_x
_atom_site_fract_y
_atom_site_fract_z
_atom_site_occupancy
Pm1 0.0000 0.0000 0.2185 1
Pm2 0.0000 0.0000 0.7815 1
Dy1 0.0000 0.0000 0.5000 1
In1 0.5000 0.5000 0.0000 1
In2 0.5000 0.5000 0.2807 1
In3 0.5000 0.5000 0.7193 1
Hg1 0.0000 0.5000 0.3883 1
Hg2 0.0000 0.5000 0.6117 1
Hg3 0.5000 0.0000 0.3883 1
Hg4 0.5000 0.0000 0.6117 1
Hg5 0.5000 0.5000 0.1374 1
Hg6 0.5000 0.5000 0.8626 1
```


Diffraction record for Pr2DyIn2Hg2. The powder diffraction line list is simulated, not measured: it uses a structure optimized by DFT (GGA-PBE) and Cu Kα X-rays.
Kinematic intensities with the Lorentz-polarization factor, no thermal factor.

The 6 most intense peaks (2θ from 10° to 90°), in order of falling intensity:
2theta, I_rel
32.84, 100.0
36.46, 92.8
49.87, 33.1
63.34, 31.2
61.86, 22.8
30.42, 19.0

Cell and atoms:
```
data_Pr2DyIn2Hg2
_space_group_name_H-M_alt 'P 1'
_space_group_IT_number 1
_cell_length_a 9.8747
_cell_length_b 9.8747
_cell_length_c 9.8747
_cell_angle_alpha 28.90
_cell_angle_beta 28.90
_cell_angle_gamma 28.90
loop_
_space_group_symop_operation_xyz
'x,y,z'
loop_
_atom_site_label
_atom_site_fract_x
_atom_site_fract_y
_atom_site_fract_z
_atom_site_occupancy
Pr1 0.1273 0.1273 0.1273 1
Pr2 0.8727 0.8727 0.8727 1
Dy1 0.0000 0.0000 0.0000 1
In1 0.2613 0.2613 0.2613 1
In2 0.7387 0.7387 0.7387 1
Hg1 0.3867 0.3867 0.3867 1
Hg2 0.6133 0.6133 0.6133 1
```


Diffraction record for Sm2DyIn2Hg2. The powder diffraction line list is simulated, not measured: it uses a structure optimized by DFT (GGA-PBE) and Cu Kα X-rays.
Kinematic intensities with the Lorentz-polarization factor, no thermal factor.

The 6 most intense peaks (2θ from 10° to 90°), in order of falling intensity:
2theta, I_rel
31.13, 100.0
36.29, 91.2
48.55, 39.1
62.09, 35.7
65.28, 16.4
19.66, 15.0

Cell and atoms:
```
data_Sm2DyIn2Hg2
_space_group_name_H-M_alt 'P 1'
_space_group_IT_number 1
_cell_length_a 9.4734
_cell_length_b 9.4734
_cell_length_c 9.4734
_cell_angle_alpha 30.30
_cell_angle_beta 30.30
_cell_angle_gamma 30.30
loop_
_space_group_symop_operation_xyz
'x,y,z'
loop_
_atom_site_label
_atom_site_fract_x
_atom_site_fract_y
_atom_site_fract_z
_atom_site_occupancy
Sm1 0.1291 0.1291 0.1291 1
Sm2 0.8709 0.8709 0.8709 1
Dy1 0.0000 0.0000 0.0000 1
In1 0.2706 0.2706 0.2706 1
In2 0.7294 0.7294 0.7294 1
Hg1 0.4163 0.4163 0.4163 1
Hg2 0.5837 0.5837 0.5837 1
```


Diffraction record for DyTlInHg. The powder diffraction line list is simulated, not measured: it uses a structure optimized by DFT (GGA-PBE) and Cu Kα X-rays.
Kinematic intensities with the Lorentz-polarization factor, no thermal factor.

The 6 most intense peaks (2θ from 10° to 90°), in order of falling intensity:
2theta, I_rel
33.36, 100.0
38.94, 33.0
66.99, 26.9
55.74, 23.4
38.27, 17.3
66.09, 14.0

Cell and atoms:
```
data_DyTlInHg
_space_group_name_H-M_alt 'P 1'
_space_group_IT_number 1
_cell_length_a 4.6241
_cell_length_b 4.6284
_cell_length_c 4.7034
_cell_angle_alpha 90.00
_cell_angle_beta 90.00
_cell_angle_gamma 90.00
loop_
_space_group_symop_operation_xyz
'x,y,z'
loop_
_atom_site_label
_atom_site_fract_x
_atom_site_fract_y
_atom_site_fract_z
_atom_site_occupancy
Dy1 0.0000 0.0000 0.0000 1
Tl1 0.5000 0.5000 0.0000 1
In1 0.5000 0.0000 0.5000 1
Hg1 0.0000 0.5000 0.5000 1
```


Diffraction record for DyTm2In2Hg2. The powder diffraction line list is simulated, not measured: it uses a structure optimized by DFT (GGA-PBE) and Cu Kα X-rays.
Kinematic intensities with the Lorentz-polarization factor, no thermal factor.

The 6 most intense peaks (2θ from 10° to 90°), in order of falling intensity:
2theta, I_rel
31.84, 100.0
36.45, 84.5
49.16, 30.0
62.72, 28.9
65.60, 17.7
53.57, 12.8

Cell and atoms:
```
data_DyTm2In2Hg2
_space_group_name_H-M_alt 'P 1'
_space_group_IT_number 1
_cell_length_a 9.1661
_cell_length_b 9.1661
_cell_length_c 9.1661
_cell_angle_alpha 31.20
_cell_angle_beta 31.20
_cell_angle_gamma 31.20
loop_
_space_group_symop_operation_xyz
'x,y,z'
loop_
_atom_site_label
_atom_site_fract_x
_atom_site_fract_y
_atom_site_fract_z
_atom_site_occupancy
Dy1 0.0000 0.0000 0.0000 1
Tm1 0.1319 0.1319 0.1319 1
Tm2 0.8681 0.8681 0.8681 1
In1 0.2686 0.2686 0.2686 1
In2 0.7314 0.7314 0.7314 1
Hg1 0.4307 0.4307 0.4307 1
Hg2 0.5693 0.5693 0.5693 1
```


Diffraction record for DyY2In2Hg2. The powder diffraction line list is simulated, not measured: it uses a structure optimized by DFT (GGA-PBE) and Cu Kα X-rays.
Kinematic intensities with the Lorentz-polarization factor, no thermal factor.

The 6 most intense peaks (2θ from 10° to 90°), in order of falling intensity:
2theta, I_rel
31.46, 100.0
36.39, 81.9
48.85, 29.3
62.42, 28.0
19.99, 16.0
41.86, 15.0

Cell and atoms:
```
data_DyY2In2Hg2
_space_group_name_H-M_alt 'P 1'
_space_group_IT_number 1
_cell_length_a 9.3287
_cell_length_b 9.3287
_cell_length_c 9.3287
_cell_angle_alpha 30.69
_cell_angle_beta 30.69
_cell_angle_gamma 30.69
loop_
_space_group_symop_operation_xyz
'x,y,z'
loop_
_atom_site_label
_atom_site_fract_x
_atom_site_fract_y
_atom_site_fract_z
_atom_site_occupancy
Dy1 0.0000 0.0000 0.0000 1
Y1 0.1305 0.1305 0.1305 1
Y2 0.8695 0.8695 0.8695 1
In1 0.2696 0.2696 0.2696 1
In2 0.7304 0.7304 0.7304 1
Hg1 0.4248 0.4248 0.4248 1
Hg2 0.5752 0.5752 0.5752 1
```


Diffraction record for Dy3Hg2Ir. The powder diffraction line list is simulated, not measured: it uses a structure optimized by DFT (GGA-PBE) and Cu Kα X-rays.
Kinematic intensities with the Lorentz-polarization factor, no thermal factor.

The 6 most intense peaks (2θ from 10° to 90°), in order of falling intensity:
2theta, I_rel
34.85, 100.0
35.46, 48.9
63.25, 26.5
62.09, 17.2
73.58, 10.5
49.19, 8.7

Cell and atoms:
```
data_Dy3Hg2Ir
_space_group_name_H-M_alt 'P 1'
_space_group_IT_number 1
_cell_length_a 5.0684
_cell_length_b 7.4089
_cell_length_c 7.9963
_cell_angle_alpha 90.00
_cell_angle_beta 108.40
_cell_angle_gamma 90.00
loop_
_space_group_symop_operation_xyz
'x,y,z'
loop_
_atom_site_label
_atom_site_fract_x
_atom_site_fract_y
_atom_site_fract_z
_atom_site_occupancy
Dy1 0.0000 0.2353 0.0000 1
Dy2 0.0000 0.7647 0.0000 1
Dy3 0.3260 0.2255 0.6519 1
Dy4 0.3260 0.7745 0.6519 1
Dy5 0.6740 0.2255 0.3481 1
Dy6 0.6740 0.7745 0.3481 1
Hg1 0.1642 0.5000 0.3300 1
Hg2 0.5000 0.0000 0.0000 1
Hg3 0.5000 0.5000 0.0000 1
Hg4 0.8358 0.5000 0.6700 1
Ir1 0.1601 0.0000 0.3194 1
Ir2 0.8399 0.0000 0.6806 1
```


Diffraction record for La4DyHg2. The powder diffraction line list is simulated, not measured: it uses a structure optimized by DFT (GGA-PBE) and Cu Kα X-rays.
Kinematic intensities with the Lorentz-polarization factor, no thermal factor.

The 6 most intense peaks (2θ from 10° to 90°), in order of falling intensity:
2theta, I_rel
31.62, 100.0
32.39, 58.3
44.17, 29.8
18.40, 29.2
56.80, 23.7
45.89, 22.3

Cell and atoms:
```
data_La4DyHg2
_space_group_name_H-M_alt 'P 1'
_space_group_IT_number 1
_cell_length_a 9.5059
_cell_length_b 9.5059
_cell_length_c 9.5059
_cell_angle_alpha 34.64
_cell_angle_beta 34.64
_cell_angle_gamma 34.64
loop_
_space_group_symop_operation_xyz
'x,y,z'
loop_
_atom_site_label
_atom_site_fract_x
_atom_site_fract_y
_atom_site_fract_z
_atom_site_occupancy
La1 0.1296 0.1296 0.1296 1
La2 0.2704 0.2704 0.2704 1
La3 0.7296 0.7296 0.7296 1
La4 0.8704 0.8704 0.8704 1
Dy1 0.5000 0.5000 0.5000 1
Hg1 0.3891 0.3891 0.3891 1
Hg2 0.6109 0.6109 0.6109 1
```


Diffraction record for La6DyHg5. The powder diffraction line list is simulated, not measured: it uses a structure optimized by DFT (GGA-PBE) and Cu Kα X-rays.
Kinematic intensities with the Lorentz-polarization factor, no thermal factor.

The 6 most intense peaks (2θ from 10° to 90°), in order of falling intensity:
2theta, I_rel
32.14, 100.0
32.68, 25.0
31.79, 23.8
57.98, 18.8
46.24, 17.0
56.86, 15.6

Cell and atoms:
```
data_La6DyHg5
_space_group_name_H-M_alt 'P 1'
_space_group_IT_number 1
_cell_length_a 5.4811
_cell_length_b 7.9006
_cell_length_c 8.8762
_cell_angle_alpha 90.00
_cell_angle_beta 107.96
_cell_angle_gamma 90.00
loop_
_space_group_symop_operation_xyz
'x,y,z'
loop_
_atom_site_label
_atom_site_fract_x
_atom_site_fract_y
_atom_site_fract_z
_atom_site_occupancy
La1 0.0000 0.2259 0.0000 1
La2 0.0000 0.7741 0.0000 1
La3 0.3269 0.2536 0.6525 1
La4 0.3269 0.7464 0.6525 1
La5 0.6731 0.2536 0.3475 1
La6 0.6731 0.7464 0.3475 1
Dy1 0.5000 0.5000 0.0000 1
Hg1 0.1469 0.5000 0.2953 1
Hg2 0.1666 0.0000 0.3358 1
Hg3 0.5000 0.0000 0.0000 1
Hg4 0.8334 0.0000 0.6642 1
Hg5 0.8531 0.5000 0.7047 1
```


Diffraction record for La6DyHg. The powder diffraction line list is simulated, not measured: it uses a structure optimized by DFT (GGA-PBE) and Cu Kα X-rays.
Kinematic intensities with the Lorentz-polarization factor, no thermal factor.

The 6 most intense peaks (2θ from 10° to 90°), in order of falling intensity:
2theta, I_rel
30.24, 100.0
35.28, 33.3
60.22, 28.3
50.25, 24.3
34.60, 17.4
59.32, 14.6

Cell and atoms:
```
data_La6DyHg
_space_group_name_H-M_alt 'P 1'
_space_group_IT_number 1
_cell_length_a 5.0879
_cell_length_b 5.0879
_cell_length_c 10.3695
_cell_angle_alpha 90.00
_cell_angle_beta 90.00
_cell_angle_gamma 90.00
loop_
_space_group_symop_operation_xyz
'x,y,z'
loop_
_atom_site_label
_atom_site_fract_x
_atom_site_fract_y
_atom_site_fract_z
_atom_site_occupancy
La1 0.0000 0.0000 0.0000 1
La2 0.0000 0.0000 0.5000 1
La3 0.0000 0.5000 0.2458 1
La4 0.0000 0.5000 0.7542 1
La5 0.5000 0.0000 0.2458 1
La6 0.5000 0.0000 0.7542 1
Dy1 0.5000 0.5000 0.5000 1
Hg1 0.5000 0.5000 0.0000 1
```